The following is a theoretical powder diffractogram of Rb3AgI2. It was derived from a structure optimized by DFT (PBE), using Cu Kα (λ = 1.5418 Å).
Peak positions follow from Bragg's law for the DFT cell and can differ from measured ones.

Cell and atoms:
```
data_Rb3AgI2
_chemical_formula_sum 'Rb6 Ag2 I4'
_space_group_name_H-M_alt 'I m m 2'
_space_group_IT_number 44
_cell_length_a 5.2701
_cell_length_b 22.3863
_cell_length_c 5.2707
_cell_angle_alpha 90.00
_cell_angle_beta 90.00
_cell_angle_gamma 90.00
loop_
_space_group_symop_operation_xyz
'x,y,z'
'-x,-y,z'
'-x,y,z'
'x,-y,z'
'x+1/2,y+1/2,z+1/2'
'-x+1/2,-y+1/2,z+1/2'
'-x+1/2,y+1/2,z+1/2'
'x+1/2,-y+1/2,z+1/2'
loop_
_atom_site_label
_atom_site_type_symbol
_atom_site_fract_x
_atom_site_fract_y
_atom_site_fract_z
Rb1 Rb 0.0000 0.0000 0.0000
Rb2 Rb 0.0000 0.3338 0.0007
Ag1 Ag 0.0000 0.5000 0.9998
I1 I 0.0000 0.1665 0.0008
```

Top 10 peaks for 2θ from 10° to 90°, most intense first:
- 23.87 deg, d 3.728, intensity 100
- 34.01 deg, d 2.636, intensity 79
- 55.08 deg, d 1.667, intensity 39
- 41.97 deg, d 2.152, intensity 29
- 60.86 deg, d 1.522, intensity 28
- 76.68 deg, d 1.243, intensity 16
- 48.86 deg, d 1.864, intensity 14
- 86.60 deg, d 1.124, intensity 11
- 81.66 deg, d 1.179, intensity 10
- 71.59 deg, d 1.318, intensity 9